# BaMg6Hg2
Calculated X-ray diffraction stick pattern, Cu Ka. Input: a structure optimized by DFT (GGA-PBE).

Structure:
a b c (Å): 4.730 4.730 10.612
angles (deg): 90.00 90.00 90.00
Space group P4/mmm (No. 123)
Unique sites:
Ba 0.000 0.000 0.000 x1
Mg 0.000 0.000 0.500 x1
Mg 0.000 0.500 0.303 x4
Mg 0.500 0.500 0.500 x1
Hg 0.500 0.500 0.145 x2

The 8 most intense peaks (2θ = 10–90°), sorted by position:
2θ/deg, d [Å], intensity, (hkl)
18.8, 4.730, 45, 1 0 0
25.2, 3.532, 40, 1 0 2
26.7, 3.345, 64, 1 1 0
28.0, 3.190, 64, 1 1 1
31.6, 2.832, 100, 1 0 3
38.0, 2.365, 52, 2 0 0
38.9, 2.312, 66, 1 0 4
50.3, 1.816, 50, 2 1 3

=====

# Sr4Si3
Calculated X-ray diffraction stick pattern, Cu Ka. Input: a structure optimized by DFT (GGA-PBE).

Structure:
a b c (Å): 5.9254 5.9254 6.5570
angles (deg): 90.00 90.00 120.00
Space group P6/mmm (No. 191)
Unique sites:
Sr 0.0000 0.0000 0.2247 x2
Sr 0.3333 0.6667 0.5000 x2
Si 0.0000 0.5000 0.0000 x3

The 8 most intense peaks (2θ = 10–90°), sorted by position:
2θ/deg, d [Å], intensity, (hkl)
22.0, 4.041, 24, 1 0 1
30.2, 2.963, 78, 1 1 0
32.4, 2.763, 100, 1 0 2
33.2, 2.700, 36, 1 1 1
37.6, 2.389, 33, 2 0 1
52.0, 1.759, 26, 1 1 3
55.0, 1.669, 43, 2 1 2
72.4, 1.306, 19, 3 1 2

=====

# ErTlCdBr6
Calculated X-ray diffraction stick pattern, Cu Ka. Input: a structure optimized by DFT (GGA-PBE).

Structure:
a b c (Å): 7.2604 7.2604 14.6098
angles (deg): 90.00 90.00 120.00
Space group P-31c (No. 163)
Unique sites:
Er 0.3333 0.6667 0.2500 x2
Tl 0.0000 0.0000 0.0000 x2
Cd 0.3333 0.6667 0.7500 x2
Br 0.0027 0.3719 0.1394 x12

The 8 most intense peaks (2θ = 10–90°), sorted by position:
2θ/deg, d [Å], intensity, (hkl)
18.6, 4.765, 100, 1 0 2
27.4, 3.251, 52, 1 1 2
31.0, 2.888, 23, 2 0 2
34.8, 2.575, 88, 1 1 4
39.9, 2.260, 33, 2 1 2
43.2, 2.096, 38, 3 0 0
54.1, 1.696, 17, 4 -1 2
56.6, 1.625, 18, 4 -2 4

=====

# DyHo2Er5In
Calculated X-ray diffraction stick pattern, Cu Ka. Input: a structure optimized by DFT (GGA-PBE).

Structure:
a b c (Å): 5.296 20.048 10.373
angles (deg): 90.00 90.00 90.00
Space group Cmcm (No. 63)
Unique sites:
Dy 0.000 0.208 0.250 x4
Ho 0.000 0.116 0.539 x8
Er 0.000 0.011 0.250 x4
Er 0.000 0.289 0.551 x8
Er 0.000 0.382 0.250 x4
Er 0.000 0.500 0.000 x4
In 0.000 0.404 0.750 x4

The 8 most intense peaks (2θ = 10–90°), sorted by position:
2θ/deg, d [Å], intensity, (hkl)
27.5, 3.241, 11, 1 3 2
28.1, 3.180, 13, 0 6 1
31.2, 2.866, 29, 1 1 3
32.9, 2.721, 100, 1 5 2
33.9, 2.648, 31, 2 0 0
34.6, 2.593, 16, 0 0 4
49.2, 1.853, 12, 2 0 4
60.0, 1.543, 26, 3 5 2

=====

# Pr3CuGeSe7
Calculated X-ray diffraction stick pattern, Cu Ka. Input: a structure optimized by DFT (GGA-PBE).

Structure:
a b c (Å): 10.7147 10.7147 6.1806
angles (deg): 90.00 90.00 120.00
Space group P6_3 (No. 173)
Unique sites:
Pr 0.1291 0.3551 0.0000 x6
Cu 0.0000 0.0000 0.4703 x2
Ge 0.3333 0.6667 0.5837 x2
Se 0.0932 0.2552 0.4813 x6
Se 0.0995 0.5811 0.7425 x6
Se 0.3333 0.6667 0.2022 x2

The 8 most intense peaks (2θ = 10–90°), sorted by position:
2θ/deg, d [Å], intensity, (hkl)
24.0, 3.710, 43, 2 0 1
29.3, 3.050, 47, 1 2 1
30.5, 2.932, 55, 1 0 2
32.4, 2.766, 44, 3 0 1
33.5, 2.678, 78, 2 2 0
34.9, 2.573, 100, 1 3 0
37.9, 2.376, 38, 3 1 1
38.8, 2.319, 52, 1 2 2

=====

# PrHo6In2
Calculated X-ray diffraction stick pattern, Cu Ka. Input: a structure optimized by DFT (GGA-PBE).

Structure:
a b c (Å): 6.234 6.234 15.239
angles (deg): 90.00 90.00 90.00
Space group I-42m (No. 121)
Unique sites:
Pr 0.000 0.000 0.000 x2
Ho 0.000 0.500 0.250 x4
Ho 0.178 0.178 0.586 x8
In 0.000 0.000 0.217 x4

The 8 most intense peaks (2θ = 10–90°), sorted by position:
2θ/deg, d [Å], intensity, (hkl)
23.3, 3.815, 100, 1 1 2
31.0, 2.884, 81, 2 0 2
32.7, 2.740, 91, 1 0 5
36.8, 2.444, 39, 2 1 3
37.3, 2.413, 65, 2 0 4
41.0, 2.204, 37, 2 2 0
44.0, 2.059, 40, 3 0 1
61.7, 1.504, 34, 3 2 5

=====

# Ba6AuO2
Calculated X-ray diffraction stick pattern, Cu Ka. Input: a structure optimized by DFT (GGA-PBE).

Structure:
a b c (Å): 15.291 14.001 7.866
angles (deg): 90.00 102.61 90.00
Space group C2/c (No. 15)
Unique sites:
Ba 0.127 0.227 0.136 x8
Ba 0.130 0.417 0.643 x8
Ba 0.148 0.063 0.591 x8
Au 0.000 0.402 0.250 x4
O 0.198 0.079 0.297 x8

The 8 most intense peaks (2θ = 10–90°), sorted by position:
2θ/deg, d [Å], intensity, (hkl)
18.9, 4.687, 23, 3 1 0
23.7, 3.753, 86, 1 3 1
23.9, 3.731, 27, 4 0 0
27.0, 3.299, 100, 3 3 -1
28.4, 3.145, 53, 2 0 2
38.6, 2.333, 36, 0 6 0
39.5, 2.284, 39, 1 3 -3
39.7, 2.269, 42, 5 3 1

=====

# Er3Tm2Pb4
Calculated X-ray diffraction stick pattern, Cu Ka. Input: a structure optimized by DFT (GGA-PBE).

Structure:
a b c (Å): 16.128 4.918 6.794
angles (deg): 90.00 105.72 90.00
Space group C2/m (No. 12)
Unique sites:
Er 0.000 0.000 0.000 x2
Er 0.114 0.000 0.593 x4
Tm 0.171 0.500 0.061 x4
Pb 0.012 0.500 0.283 x4
Pb 0.245 0.000 0.309 x4

The 8 most intense peaks (2θ = 10–90°), sorted by position:
2θ/deg, d [Å], intensity, (hkl)
30.6, 2.921, 20, 4 0 -2
30.7, 2.910, 96, 3 1 1
33.6, 2.670, 100, 3 1 -2
33.7, 2.656, 20, 5 1 -1
34.1, 2.626, 17, 5 1 0
34.7, 2.585, 26, 1 1 2
36.5, 2.459, 47, 0 2 0
50.5, 1.808, 21, 6 2 -1

=====

# ErMg15Tl4
Calculated X-ray diffraction stick pattern, Cu Ka. Input: a structure optimized by DFT (GGA-PBE).

Structure:
a b c (Å): 4.733 4.733 21.128
angles (deg): 90.00 90.00 90.00
Space group P4/mmm (No. 123)
Unique sites:
Er 0.000 0.000 0.000 x1
Mg 0.000 0.500 0.105 x4
Mg 0.000 0.500 0.302 x4
Mg 0.000 0.500 0.500 x2
Mg 0.500 0.500 0.000 x1
Mg 0.500 0.500 0.205 x2
Mg 0.500 0.500 0.400 x2
Tl 0.000 0.000 0.201 x2
Tl 0.000 0.000 0.402 x2

The 8 most intense peaks (2θ = 10–90°), sorted by position:
2θ/deg, d [Å], intensity, (hkl)
18.7, 4.733, 82, 1 0 0
21.0, 4.226, 32, 0 0 5
26.6, 3.347, 36, 1 1 0
28.3, 3.152, 62, 1 0 5
34.2, 2.624, 100, 1 1 5
38.0, 2.366, 38, 2 0 0
42.8, 2.115, 34, 0 0 10
48.1, 1.893, 30, 2 1 5